Structure and calculated XRD peak list of Mg6TiCO8 (a GGA-PBE-relaxed structure; CuKα).
Intensities are scaled so that the largest is 100.

a = 4.167 Å, b = 4.167 Å, c = 9.138 Å
α = 90.00°, β = 90.00°, γ = 90.00°
Space group P4/mmm (No. 123)
Unique sites:
Mg1 0.000 0.000 0.000
Mg2 0.000 0.000 0.500
Mg3 0.000 0.500 0.232
Ti1 0.500 0.500 0.500
C1 0.500 0.500 0.000
O1 0.000 0.000 0.244
O2 0.000 0.500 0.000
O3 0.000 0.500 0.500
O4 0.500 0.500 0.285

Top 10 peaks for 15 to 90 degrees two-theta, in order of rising 2θ:
| (hkl) | two_theta | d/Å | I/Imax |
| --- | --- | --- | --- |
| 1 0 1 | 23.5 | 3.791 | 19.6 |
| 1 1 1 | 31.9 | 2.804 | 12.7 |
| 1 1 2 | 36.3 | 2.476 | 19.5 |
| 0 0 4 | 39.4 | 2.284 | 59.5 |
| 2 0 0 | 43.4 | 2.084 | 100.0 |
| 1 1 5 | 59.5 | 1.553 | 8.3 |
| 2 0 4 | 60.1 | 1.539 | 56.7 |
| 2 2 0 | 63.1 | 1.473 | 27.3 |
| 3 1 2 | 75.0 | 1.266 | 7.4 |
| 2 2 4 | 77.0 | 1.238 | 24.1 |